No. 1
Structure and calculated powder X-ray diffraction pattern of Nd2ScAl12Fe3 (a GGA-PBE-relaxed structure; Cu Ka).

Largest 6 diffraction maxima, in order of rising 2θ, 2θ from 10° to 80°:
| Position (°2θ) | d_spacing | I/Imax |
| --- | --- | --- |
| 20.8 | 4.269 | 46.1 |
| 24.6 | 3.626 | 100.0 |
| 25.9 | 3.434 | 42.5 |
| 33.5 | 2.676 | 45.7 |
| 36.0 | 2.492 | 51.4 |
| 42.3 | 2.135 | 45.0 |

Cell and atoms:
```
Nd2ScAl12Fe3
1.0
4.269 2.465 6.175
-4.269 2.465 6.175
0.000 -4.930 6.175
Nd Sc Al Fe
2 1 12 3
Cartesian
0.000 0.000 1.522 Nd
0.000 0.000 17.003 Nd
0.000 0.000 9.263 Sc
-2.639 -1.524 8.385 Al
0.000 -1.729 6.433 Al
-1.497 0.864 6.433 Al
0.000 -3.048 10.141 Al
-2.639 1.524 10.141 Al
-1.497 -0.864 12.092 Al
1.497 0.864 6.433 Al
2.639 -1.524 8.385 Al
0.000 3.048 8.385 Al
1.497 -0.864 12.092 Al
0.000 1.729 12.092 Al
2.639 1.524 10.141 Al
-2.135 -1.232 6.175 Fe
-2.135 1.232 12.350 Fe
0.000 2.465 6.175 Fe
```

---

No. 2
Structure and calculated powder X-ray diffraction pattern of NdAl2Fe2Si (a GGA-PBE-relaxed structure; Cu Ka).

Largest 6 diffraction maxima, in order of rising 2θ, 2θ from 10° to 80°:
| Position (°2θ) | d_spacing | I/Imax |
| --- | --- | --- |
| 20.9 | 4.241 | 42.4 |
| 26.2 | 3.407 | 46.3 |
| 33.7 | 2.656 | 100.0 |
| 37.9 | 2.371 | 67.9 |
| 42.6 | 2.120 | 55.9 |
| 58.4 | 1.581 | 38.2 |

Cell and atoms:
```
NdAl2Fe2Si
1.0
4.241 0.000 0.000
0.000 4.241 0.000
0.000 0.000 5.720
Nd Al Fe Si
1 2 2 1
Cartesian
0.000 0.000 0.000 Nd
2.120 2.120 1.429 Al
2.120 2.120 4.291 Al
0.000 2.120 2.860 Fe
2.120 0.000 2.860 Fe
0.000 0.000 2.860 Si
```

---

No. 3
Structure and calculated powder X-ray diffraction pattern of Al4FeNi3 (a GGA-PBE-relaxed structure; Cu Ka).

Largest 5 diffraction maxima, in order of rising 2θ, 2θ from 10° to 80°:
| Position (°2θ) | d_spacing | I/Imax |
| --- | --- | --- |
| 31.0 | 2.885 | 22.9 |
| 44.4 | 2.040 | 100.0 |
| 55.1 | 1.666 | 5.4 |
| 64.6 | 1.442 | 15.3 |
| 73.4 | 1.290 | 6.0 |

Cell and atoms:
```
Al4FeNi3
1.0
2.886 0.000 0.000
0.000 2.886 0.000
0.000 0.000 11.530
Al Fe Ni
4 1 3
Cartesian
0.000 0.000 1.384 Al
0.000 0.000 4.320 Al
0.000 0.000 7.210 Al
0.000 0.000 10.145 Al
1.443 1.443 0.000 Fe
1.443 1.443 2.871 Ni
1.443 1.443 5.765 Ni
1.443 1.443 8.658 Ni
```

---

No. 4
Structure and calculated powder X-ray diffraction pattern of Al8Fe2Ni (a GGA-PBE-relaxed structure; Cu Ka).

Largest 6 diffraction maxima, in order of rising 2θ, 2θ from 10° to 80°:
| Position (°2θ) | d_spacing | I/Imax |
| --- | --- | --- |
| 18.5 | 4.788 | 29.9 |
| 24.1 | 3.697 | 41.5 |
| 40.5 | 2.230 | 36.8 |
| 42.3 | 2.135 | 100.0 |
| 42.9 | 2.107 | 29.8 |
| 49.5 | 1.840 | 29.6 |

Cell and atoms:
```
Al8Fe2Ni
1.0
6.696 -2.564 0.000
6.696 2.564 0.000
-0.211 0.000 4.573
Al Fe Ni
8 2 1
Cartesian
0.000 0.000 0.000 Al
4.935 0.485 3.606 Al
2.237 -0.702 3.332 Al
4.026 -0.764 1.120 Al
8.246 0.485 0.968 Al
6.591 -1.098 2.287 Al
9.155 -0.764 3.453 Al
10.944 -0.702 1.241 Al
1.978 0.593 1.169 Fe
11.204 0.593 3.405 Fe
6.591 1.516 2.287 Ni
```

---

No. 5
Structure and calculated powder X-ray diffraction pattern of AlFeTcNi (a GGA-PBE-relaxed structure; Cu Ka).

Largest 6 diffraction maxima, in order of rising 2θ, 2θ from 10° to 80°:
| Position (°2θ) | d_spacing | I/Imax |
| --- | --- | --- |
| 26.1 | 3.408 | 9.6 |
| 30.3 | 2.952 | 13.6 |
| 43.4 | 2.087 | 100.0 |
| 63.0 | 1.476 | 15.5 |
| 71.5 | 1.320 | 4.4 |
| 79.5 | 1.205 | 30.6 |

Cell and atoms:
```
AlFeTcNi
1.0
5.903 0.000 0.000
0.000 5.903 0.000
0.000 0.000 5.903
Al Fe Tc Ni
4 4 4 4
Cartesian
0.000 0.000 0.000 Al
0.000 2.952 2.952 Al
2.952 0.000 2.952 Al
2.952 2.952 0.000 Al
0.000 0.000 2.952 Fe
0.000 2.952 0.000 Fe
2.952 0.000 0.000 Fe
2.952 2.952 2.952 Fe
1.476 1.476 1.476 Tc
1.476 4.428 4.428 Tc
4.428 1.476 4.428 Tc
4.428 4.428 1.476 Tc
1.476 1.476 4.428 Ni
1.476 4.428 1.476 Ni
4.428 1.476 1.476 Ni
4.428 4.428 4.428 Ni
```

---

No. 6
Structure and calculated powder X-ray diffraction pattern of AlFeNiW (a GGA-PBE-relaxed structure; Cu Ka).

Largest 6 diffraction maxima, in order of rising 2θ, 2θ from 10° to 80°:
| Position (°2θ) | d_spacing | I/Imax |
| --- | --- | --- |
| 26.1 | 3.408 | 54.7 |
| 43.4 | 2.087 | 100.0 |
| 51.3 | 1.780 | 27.0 |
| 63.0 | 1.476 | 16.0 |
| 69.4 | 1.354 | 11.1 |
| 79.6 | 1.205 | 32.3 |

Cell and atoms:
```
AlFeNiW
1.0
5.903 0.000 0.000
0.000 5.903 0.000
0.000 0.000 5.903
Al Fe Ni W
4 4 4 4
Cartesian
0.000 0.000 0.000 Al
0.000 2.952 2.952 Al
2.952 0.000 2.952 Al
2.952 2.952 0.000 Al
1.476 1.476 4.427 Fe
1.476 4.427 1.476 Fe
4.427 1.476 1.476 Fe
4.427 4.427 4.427 Fe
1.476 1.476 1.476 Ni
1.476 4.427 4.427 Ni
4.427 1.476 4.427 Ni
4.427 4.427 1.476 Ni
0.000 0.000 2.952 W
0.000 2.952 0.000 W
2.952 0.000 0.000 W
2.952 2.952 2.952 W
```